Structure and computed powder diffraction line list of Tm3Th3TlTc2 (a structure optimized by DFT (PBE); λ = 1.5418 Å (Cu Kα)).
Neutral-atom scattering factors, no anomalous dispersion.

Principal peaks in the range 10 to 90 degrees two-theta, by angle:
2θ/deg  Rel. int.
26.17  18
30.52  82
33.30  100
34.85  37
39.70  25
40.63  15
41.11  26
52.76  17
54.97  21
58.48  16
63.16  29
69.95  18

abc: 7.8641 7.8641 4.3911
angles: 90.00 90.00 120.00
Fractional positions:
1 Tm 0.0000 0.7344 0.0000
2 Tm 0.2656 0.2656 0.0000
3 Tm 0.7344 0.0000 0.0000
4 Th 0.0000 0.4233 0.5000
5 Th 0.4233 0.0000 0.5000
6 Th 0.5767 0.5767 0.5000
7 Tl 0.0000 0.0000 0.5000
8 Tc 0.3333 0.6667 0.0000
9 Tc 0.6667 0.3333 0.0000